Starting from a structure optimized by DFT (GGA-PBE), the powder diffractogram of Ac2MgCd3Ag12 was simulated for Cu Kα, 1.54184 Å.
Peak positions follow from Bragg's law for the DFT cell and can differ from measured ones.

Crystal structure
Cell lengths 9.3544, 9.3544, 18.7578 Å; angles 90.00, 90.00, 120.00 degrees
Space group R-3m (No. 166, hexagonal axes)
Asymmetric unit:
Ac1 0.0000 0.0000 0.1020 [6 per cell]
Mg1 0.0000 0.0000 0.5000 [3 per cell]
Cd1 0.0000 0.5000 0.0000 [9 per cell]
Ag1 0.0030 0.5015 0.1500 [18 per cell]
Ag2 0.0680 0.5340 0.4163 [18 per cell]

Main lines, in order of falling intensity (2θ = 10–80°):
38.50 deg, rel. 100, hkl 2 2 0
37.93 deg, rel. 48, hkl 1 2 5
40.36 deg, rel. 47, hkl 0 2 7
29.13 deg, rel. 41, hkl 0 2 4
26.18 deg, rel. 40, hkl 0 1 5
22.46 deg, rel. 39, hkl 0 2 1
44.98 deg, rel. 37, hkl 4 0 1
23.93 deg, rel. 31, hkl 2 0 2
14.16 deg, rel. 26, hkl 0 0 3
29.56 deg, rel. 20, hkl 2 1 1


Starting from a structure optimized by DFT (GGA-PBE), the powder diffractogram of NbPd4Au was simulated for Cu Kα, 1.54184 Å.
Peak positions follow from Bragg's law for the DFT cell and can differ from measured ones.

Crystal structure
Cell lengths 4.915, 8.470, 4.879 Å; angles 90.00, 108.63, 90.00 degrees
Space group C2/m (No. 12)
Asymmetric unit:
Nb1 0.000 0.000 0.000 [2 per cell]
Pd1 0.000 0.164 0.500 [4 per cell]
Pd2 0.000 0.333 0.000 [4 per cell]
Au1 0.000 0.500 0.500 [2 per cell]

Main lines, in order of falling intensity (2θ = 10–80°):
39.13 deg, rel. 100, hkl 1 3 -1
45.15 deg, rel. 66, hkl 1 3 1
38.96 deg, rel. 53, hkl 0 0 2
38.67 deg, rel. 52, hkl 2 0 0
45.62 deg, rel. 32, hkl 2 0 -2
65.93 deg, rel. 21, hkl 3 3 -1
66.33 deg, rel. 21, hkl 1 3 -3
79.40 deg, rel. 19, hkl 4 0 -2
78.68 deg, rel. 13, hkl 3 3 1
79.56 deg, rel. 13, hkl 0 6 2


Starting from a structure optimized by DFT (GGA-PBE), the powder diffractogram of Nd3Y3TmS8 was simulated for Cu Kα, 1.54184 Å.
Peak positions follow from Bragg's law for the DFT cell and can differ from measured ones.

Crystal structure
Cell lengths 7.9165, 7.9165, 19.6964 Å; angles 90.00, 90.00, 120.00 degrees
Space group R-3m (No. 166, hexagonal axes)
Asymmetric unit:
Nd1 0.0000 0.5000 0.0000 [9 per cell]
Y1 0.0000 0.5000 0.5000 [9 per cell]
Tm1 0.0000 0.0000 0.5000 [3 per cell]
S1 0.0000 0.0000 0.2454 [6 per cell]
S2 0.0028 0.5014 0.2449 [18 per cell]

Main lines, in order of falling intensity (2θ = 10–80°):
31.81 deg, rel. 100, hkl 0 2 4
27.55 deg, rel. 40, hkl 2 0 2
45.35 deg, rel. 36, hkl 2 0 8
45.85 deg, rel. 35, hkl 2 2 0
13.68 deg, rel. 28, hkl 1 0 1
56.88 deg, rel. 18, hkl 4 0 4
75.94 deg, rel. 15, hkl 2 4 4
75.21 deg, rel. 15, hkl 2 2 12
27.16 deg, rel. 14, hkl 0 0 6
54.11 deg, rel. 14, hkl 2 2 6


Starting from a structure optimized by DFT (GGA-PBE), the powder diffractogram of Li2Dy2Ga3 was simulated for Cu Kα, 1.54184 Å.
Peak positions follow from Bragg's law for the DFT cell and can differ from measured ones.

Crystal structure
Cell lengths 4.259, 19.001, 7.060 Å; angles 90.00, 90.00, 90.00 degrees
Space group Cmcm (No. 63)
Asymmetric unit:
Li1 0.000 0.188 0.060 [8 per cell]
Dy1 0.000 0.346 0.250 [4 per cell]
Dy2 0.000 0.446 0.750 [4 per cell]
Ga1 0.000 0.060 0.570 [8 per cell]
Ga2 0.000 0.275 0.750 [4 per cell]

Main lines, in order of falling intensity (2θ = 10–80°):
34.07 deg, rel. 100, hkl 1 5 1
33.30 deg, rel. 68, hkl 1 1 2
25.22 deg, rel. 39, hkl 0 0 2
42.45 deg, rel. 22, hkl 2 0 0
42.89 deg, rel. 19, hkl 0 4 3
30.95 deg, rel. 19, hkl 0 6 1
22.56 deg, rel. 17, hkl 0 4 1
48.17 deg, rel. 15, hkl 0 6 3
61.92 deg, rel. 13, hkl 2 4 3
75.16 deg, rel. 13, hkl 1 5 5


Starting from a structure optimized by DFT (GGA-PBE), the powder diffractogram of Ti3Al2Pd4 was simulated for Cu Kα, 1.54184 Å.
Peak positions follow from Bragg's law for the DFT cell and can differ from measured ones.

Crystal structure
Cell lengths 7.850, 4.283, 8.281 Å; angles 90.00, 94.93, 90.00 degrees
Space group C2/m (No. 12)
Asymmetric unit:
Ti1 0.000 0.000 0.000 [2 per cell]
Ti2 0.171 0.500 0.569 [4 per cell]
Al1 0.164 0.500 0.224 [4 per cell]
Pd1 0.004 0.000 0.670 [4 per cell]
Pd2 0.163 0.500 0.903 [4 per cell]

Main lines, in order of falling intensity (2θ = 10–80°):
39.82 deg, rel. 100, hkl 1 1 -3
40.51 deg, rel. 98, hkl 3 1 0
42.19 deg, rel. 44, hkl 0 2 0
41.75 deg, rel. 44, hkl 2 0 3
26.47 deg, rel. 32, hkl 1 1 1
60.86 deg, rel. 27, hkl 2 2 3
32.90 deg, rel. 20, hkl 1 1 2
24.34 deg, rel. 19, hkl 2 0 -1
55.26 deg, rel. 18, hkl 4 0 -3
71.90 deg, rel. 16, hkl 4 2 -3